(1)
Starting from a DFT-relaxed cell (PBE, Alexandria), the powder XRD pattern of TbY2Cd8 was calculated for Cu Kα (weighted mean of Kα1 and Kα2).
Kinematic intensities with the Lorentz-polarization factor, no thermal factor.

Most intense lines, 2θ = 15–90°, in order of rising 2θ:
| two_theta | d_spacing | I/Imax | (hkl) |
| --- | --- | --- | --- |
| 24.54 | 3.628 | 8 | 1 1 2 |
| 32.44 | 2.760 | 29 | 1 1 4 |
| 35.26 | 2.546 | 40 | 2 0 0 |
| 35.44 | 2.533 | 100 | 1 2 3 |
| 36.59 | 2.456 | 18 | 0 0 6 |
| 37.64 | 2.390 | 12 | 0 3 1 |
| 51.73 | 1.767 | 13 | 2 0 6 |
| 52.53 | 1.742 | 9 | 2 3 1 |
| 58.06 | 1.589 | 9 | 0 3 7 |
| 63.41 | 1.467 | 17 | 3 2 3 |
| 69.79 | 1.348 | 10 | 2 3 7 |
| 72.33 | 1.306 | 9 | 1 5 4 |

Cell and atoms:
abc: 5.090 7.265 14.735
angles: 90.00 90.00 90.00
Space group Immm (No. 71)
One atom of each set of equivalent atoms:
Tb 0.000 0.000 0.000 (multiplicity 2)
Y 0.000 0.000 0.303 (multiplicity 4)
Cd 0.000 0.208 0.500 (multiplicity 4)
Cd 0.000 0.292 0.144 (multiplicity 8)
Cd 0.000 0.500 0.343 (multiplicity 4)

(2)
Starting from a DFT-relaxed cell (PBE, Alexandria), the powder XRD pattern of Li2SnB2O6 was calculated for Cu Kα (weighted mean of Kα1 and Kα2).
Kinematic intensities with the Lorentz-polarization factor, no thermal factor.

Most intense lines, 2θ = 15–90°, in order of rising 2θ:
| two_theta | d_spacing | I/Imax | (hkl) |
| --- | --- | --- | --- |
| 18.60 | 4.771 | 52 | 1 0 -1 |
| 19.71 | 4.504 | 100 | 0 1 2 |
| 21.78 | 4.080 | 26 | 1 1 1 |
| 26.11 | 3.412 | 11 | 1 2 0 |
| 27.23 | 3.275 | 12 | 1 2 -1 |
| 31.00 | 2.885 | 11 | 0 3 1 |
| 34.49 | 2.600 | 44 | 0 0 4 |
| 35.77 | 2.510 | 14 | 2 1 0 |
| 37.67 | 2.388 | 11 | 2 0 -2 |
| 40.45 | 2.230 | 10 | 2 2 -1 |
| 49.06 | 1.857 | 11 | 1 1 5 |
| 53.87 | 1.702 | 15 | 3 1 -1 |

Cell and atoms:
abc: 5.235 9.008 10.407
angles: 90.00 92.97 90.00
Space group P2_1 (No. 4)
One atom of each set of equivalent atoms:
Li 0.048 0.000 0.147 (multiplicity 2)
Li 0.056 0.314 0.612 (multiplicity 2)
Li 0.384 0.928 0.925 (multiplicity 2)
Li 0.421 0.956 0.333 (multiplicity 2)
Sn 0.122 0.669 0.119 (multiplicity 2)
Sn 0.404 0.301 0.377 (multiplicity 2)
B 0.079 0.640 0.635 (multiplicity 2)
B 0.105 0.325 0.118 (multiplicity 2)
B 0.416 0.641 0.379 (multiplicity 2)
B 0.422 0.272 0.874 (multiplicity 2)
O 0.017 0.959 0.909 (multiplicity 2)
O 0.022 0.698 0.924 (multiplicity 2)
O 0.025 0.278 0.406 (multiplicity 2)
O 0.067 0.022 0.337 (multiplicity 2)
O 0.173 0.314 0.848 (multiplicity 2)
O 0.176 0.658 0.318 (multiplicity 2)
O 0.346 0.321 0.180 (multiplicity 2)
O 0.348 0.632 0.647 (multiplicity 2)
O 0.373 0.870 0.129 (multiplicity 2)
O 0.454 0.271 0.579 (multiplicity 2)
O 0.466 0.008 0.595 (multiplicity 2)
O 0.492 0.126 0.900 (multiplicity 2)

(3)
Starting from a DFT-relaxed cell (PBE, Alexandria), the powder XRD pattern of Ca2Sn2Rh5Pb was calculated for Cu Kα (weighted mean of Kα1 and Kα2).
Kinematic intensities with the Lorentz-polarization factor, no thermal factor.

Most intense lines, 2θ = 15–90°, in order of rising 2θ:
| two_theta | d_spacing | I/Imax | (hkl) |
| --- | --- | --- | --- |
| 17.29 | 5.130 | 21 | 2 0 0 |
| 19.35 | 4.588 | 30 | 2 1 0 |
| 34.50 | 2.600 | 20 | 2 2 1 |
| 36.10 | 2.488 | 16 | 4 1 0 |
| 36.72 | 2.447 | 100 | 3 1 1 |
| 39.27 | 2.294 | 18 | 4 2 0 |
| 39.86 | 2.262 | 31 | 3 2 1 |
| 45.06 | 2.012 | 9 | 5 1 0 |
| 48.87 | 1.864 | 17 | 0 0 2 |
| 64.41 | 1.446 | 8 | 4 2 2 |
| 69.52 | 1.352 | 9 | 5 5 1 |
| 83.28 | 1.160 | 10 | 3 1 3 |

Cell and atoms:
abc: 10.260 10.260 3.727
angles: 90.00 90.00 90.00
Space group P4/mbm (No. 127)
One atom of each set of equivalent atoms:
Ca 0.171 0.329 0.000 (multiplicity 4)
Sn 0.127 0.627 0.000 (multiplicity 4)
Rh 0.000 0.500 0.500 (multiplicity 2)
Rh 0.067 0.799 0.500 (multiplicity 8)
Pb 0.000 0.000 0.000 (multiplicity 2)

(4)
Starting from a DFT-relaxed cell (PBE, Alexandria), the powder XRD pattern of NaBe4As3 was calculated for Cu Kα (weighted mean of Kα1 and Kα2).
Kinematic intensities with the Lorentz-polarization factor, no thermal factor.

Most intense lines, 2θ = 15–90°, in order of rising 2θ:
| two_theta | d_spacing | I/Imax | (hkl) |
| --- | --- | --- | --- |
| 25.65 | 3.473 | 23 | 1 0 1 |
| 28.14 | 3.171 | 10 | 0 0 3 |
| 30.45 | 2.935 | 100 | 1 0 2 |
| 33.99 | 2.638 | 35 | 1 1 0 |
| 37.83 | 2.378 | 7 | 0 0 4 |
| 44.69 | 2.028 | 20 | 1 1 3 |
| 48.83 | 1.865 | 18 | 2 0 0 |
| 51.76 | 1.766 | 16 | 1 1 4 |
| 54.11 | 1.695 | 14 | 1 0 5 |
| 58.64 | 1.574 | 30 | 2 1 2 |
| 75.84 | 1.254 | 10 | 2 1 5 |
| 88.41 | 1.106 | 6 | 3 1 3 |

Cell and atoms:
abc: 3.731 3.731 9.513
angles: 90.00 90.00 90.00
Space group P4/mmm (No. 123)
One atom of each set of equivalent atoms:
Na 0.000 0.000 0.000 (multiplicity 1)
Be 0.000 0.500 0.344 (multiplicity 4)
As 0.000 0.000 0.500 (multiplicity 1)
As 0.500 0.500 0.210 (multiplicity 2)